Computed powder diffractogram of Sc4TlIn4Ni2 for CuKα, from a structure optimized by DFT (PBE).
Kinematic intensities with the Lorentz-polarization factor, no thermal factor.

Atomic structure:
Lattice parameters (Å, degrees): 7.5032 3.3426 9.1848 90.00 95.12 90.00
Fractional coordinates of all 11 atoms:
Sc  0.1864  0.0000  0.3395
Sc  0.2018  0.0000  0.9362
Sc  0.7982  0.0000  0.0638
Sc  0.8136  0.0000  0.6605
Tl  0.5000  0.5000  0.5000
In  0.1511  0.5000  0.6436
In  0.4557  0.5000  0.1621
In  0.5443  0.5000  0.8379
In  0.8489  0.5000  0.3564
Ni  0.0749  0.5000  0.1312
Ni  0.9251  0.5000  0.8688

Top 12 peaks for 2θ = 5–70°, in order of rising 2θ:
2theta	I_rel	hkl
23.70	147	1 0 2
26.67	476	0 1 0
29.27	146	1 1 0
32.69	274	1 0 3
36.02	1000	3 0 0
36.32	268	2 0 -3
40.02	167	0 1 3
40.18	271	1 0 -4
41.08	156	1 1 -3
45.80	136	3 1 -1
54.94	154	0 2 0
67.50	151	3 2 0